# 1
Computed powder diffractogram
Compound: Tb2Er3Ga4
Radiation: copper Kα
Structure: a structure optimized by DFT (GGA-PBE)

Most intense lines, 10° ≤ 2θ ≤ 90°, low angle first:
d 2.849, 2θ 31.39, rel. 45, (2 1 -2)
d 2.749, 2θ 32.57, rel. 87, (2 2 -1)
d 2.736, 2θ 32.73, rel. 77, (2 2 0)
d 2.726, 2θ 32.85, rel. 100, (1 1 2)
d 2.476, 2θ 36.29, rel. 60, (0 3 1)
d 2.349, 2θ 38.31, rel. 62, (1 1 -3)

Structure:
Unit cell a=7.8880 b=7.9277 c=7.3824 alpha=90.00 beta=106.55 gamma=90.00
Space group P2_1/c (No. 14)
Unique sites:
Tb: 0.1897 0.1845 0.0729 (multiplicity 4)
Er: 0.2390 0.6746 0.2513 (multiplicity 4)
Er: 0.5000 0.0000 0.5000 (multiplicity 2)
Ga: 0.0813 0.5288 0.8632 (multiplicity 4)
Ga: 0.4893 0.1240 0.8785 (multiplicity 4)



# 2
Computed powder diffractogram
Compound: LiAg2P3H2O10
Radiation: copper Kα
Structure: a structure optimized by DFT (GGA-PBE)

Most intense lines, 10° ≤ 2θ ≤ 90°, low angle first:
d 7.253, 2θ 12.20, rel. 100, (0 1 0)
d 7.176, 2θ 12.33, rel. 80, (1 0 0)
d 5.956, 2θ 14.87, rel. 64, (1 1 0)
d 3.250, 2θ 27.44, rel. 88, (1 2 2)
d 2.985, 2θ 29.94, rel. 59, (1 -1 2)
d 2.968, 2θ 30.11, rel. 61, (2 1 -1)

Structure:
Unit cell a=7.7366 b=7.8370 c=8.4786 alpha=73.68 beta=74.14 gamma=71.26
Space group P-1 (No. 2)
Unique sites:
Li: 0.2045 0.4019 0.1704 (multiplicity 2)
Ag: 0.0616 0.8507 0.9047 (multiplicity 2)
Ag: 0.2038 0.0781 0.5205 (multiplicity 2)
P: 0.2105 0.6075 0.5952 (multiplicity 2)
P: 0.2561 0.7583 0.2295 (multiplicity 2)
P: 0.3311 0.2435 0.8284 (multiplicity 2)
H: 0.4921 0.2665 0.3255 (multiplicity 2)
H: 0.4988 0.1150 0.2395 (multiplicity 2)
O: 0.0046 0.6304 0.6418 (multiplicity 2)
O: 0.1195 0.9335 0.2743 (multiplicity 2)
O: 0.2016 0.3195 0.9744 (multiplicity 2)
O: 0.2146 0.6672 0.1141 (multiplicity 2)
O: 0.2867 0.6042 0.3972 (multiplicity 2)
O: 0.2867 0.7390 0.6403 (multiplicity 2)
O: 0.3135 0.0725 0.7929 (multiplicity 2)
O: 0.3250 0.3980 0.6566 (multiplicity 2)
O: 0.4091 0.2220 0.2851 (multiplicity 2)
O: 0.4571 0.7953 0.1504 (multiplicity 2)



# 3
Computed powder diffractogram
Compound: ZrB3Rh6
Radiation: copper Kα
Structure: a structure optimized by DFT (GGA-PBE)

Most intense lines, 10° ≤ 2θ ≤ 90°, low angle first:
d 2.690, 2θ 33.30, rel. 31, (1 1 0)
d 2.604, 2θ 34.45, rel. 54, (0 0 6)
d 2.390, 2θ 37.63, rel. 66, (2 -1 3)
d 2.305, 2θ 39.09, rel. 100, (0 2 1)
d 2.233, 2θ 40.40, rel. 35, (2 0 2)
d 1.870, 2θ 48.70, rel. 91, (2 0 5)

Structure:
Unit cell a=5.3810 b=5.3810 c=15.6223 alpha=90.00 beta=90.00 gamma=120.00
Space group R3 (No. 146, hexagonal axes)
Unique sites:
Zr: 0.0000 0.0000 0.0000 (multiplicity 3)
B: 0.0000 0.0000 0.1632 (multiplicity 3)
B: 0.0000 0.0000 0.3667 (multiplicity 3)
B: 0.0000 0.0000 0.6999 (multiplicity 3)
Rh: 0.0001 0.5097 0.9376 (multiplicity 9)
Rh: 0.0011 0.4053 0.1194 (multiplicity 9)



# 4
Computed powder diffractogram
Compound: Li8SnSb5
Radiation: copper Kα
Structure: a structure optimized by DFT (GGA-PBE)

Most intense lines, 10° ≤ 2θ ≤ 90°, low angle first:
d 4.229, 2θ 21.00, rel. 36, (1 1 -1)
d 3.924, 2θ 22.66, rel. 100, (0 1 -2)
d 3.690, 2θ 24.12, rel. 28, (1 1 0)
d 3.556, 2θ 25.04, rel. 31, (1 0 -2)
d 3.357, 2θ 26.55, rel. 29, (1 -2 1)
d 2.565, 2θ 34.99, rel. 41, (2 -2 0)

Structure:
Unit cell a=6.0647 b=7.4769 c=8.0824 alpha=113.33 beta=103.46 gamma=101.24
Space group P1 (No. 1)
Unique sites:
Li: 0.0000 0.0000 0.0000 (multiplicity 1)
Li: 0.0097 0.5058 0.2406 (multiplicity 1)
Li: 0.2535 0.5361 0.6408 (multiplicity 1)
Li: 0.3494 0.0178 0.3576 (multiplicity 1)
Li: 0.4692 0.9464 0.9761 (multiplicity 1)
Li: 0.6513 0.7660 0.2567 (multiplicity 1)
Li: 0.7818 0.5437 0.6366 (multiplicity 1)
Li: 0.9301 0.2342 0.7133 (multiplicity 1)
Sn: 0.4843 0.2988 0.8211 (multiplicity 1)
Sb: 0.0836 0.8778 0.5884 (multiplicity 1)
Sb: 0.1536 0.6365 0.9938 (multiplicity 1)
Sb: 0.4695 0.3530 0.2006 (multiplicity 1)
Sb: 0.5930 0.8759 0.6460 (multiplicity 1)
Sb: 0.8460 0.1892 0.3364 (multiplicity 1)



# 5
Computed powder diffractogram
Compound: Pm4Sm3Th2
Radiation: copper Kα
Structure: a structure optimized by DFT (GGA-PBE)

Most intense lines, 10° ≤ 2θ ≤ 90°, low angle first:
d 3.142, 2θ 28.41, rel. 41, (3 1 -1)
d 2.922, 2θ 30.60, rel. 45, (0 0 3)
d 2.851, 2θ 31.37, rel. 100, (6 0 0)
d 2.711, 2θ 33.04, rel. 77, (6 0 -3)
d 1.827, 2θ 49.92, rel. 35, (0 2 0)
d 1.548, 2θ 59.73, rel. 27, (0 2 3)

Structure:
Unit cell a=18.9907 b=3.6531 c=9.7171 alpha=90.00 beta=115.57 gamma=90.00
Space group C2/m (No. 12)
Unique sites:
Pm: 0.0162 0.0000 0.3294 (multiplicity 4)
Pm: 0.1842 0.5000 0.3243 (multiplicity 4)
Sm: 0.0000 0.5000 0.0000 (multiplicity 2)
Sm: 0.1505 0.5000 0.6748 (multiplicity 4)
Th: 0.1689 0.0000 0.0000 (multiplicity 4)